Diffraction record for Y3Te5Ir. The powder diffractogram is computed, not measured: it uses a DFT-relaxed cell (PBE, OQMD) and Cu Kα.
Kinematic intensities with the Lorentz-polarization factor, no thermal factor.

Cell and atoms:
abc: 8.6303 8.6303 3.7998
angles: 90.00 90.00 120.00
Space group P-62m (No. 189)
Unique sites:
Y 0.0000 0.6443 0.0000 x3
Te 0.0000 0.2315 0.5000 x3
Te 0.3333 0.6667 0.5000 x2
Ir 0.0000 0.0000 0.0000 x1

Top 12 peaks for 2θ = 5–70°, sorted by position:
d_spacing  I/Imax  h k l
7.474  670  1 0 0
4.315  225  1 1 0
2.852  769  1 1 1
2.825  388  2 1 0
2.664  683  2 0 1
2.491  666  3 0 0
2.267  1000  2 1 1
1.900  215  0 0 2
1.631  216  4 1 0
1.563  305  3 2 1
1.511  279  3 0 2
1.499  163  4 1 1

---

Diffraction record for Zr2Te6Ir. The powder diffractogram is computed, not measured: it uses a DFT-relaxed cell (PBE, OQMD) and Cu Kα.
Kinematic intensities with the Lorentz-polarization factor, no thermal factor.

Cell and atoms:
abc: 20.5826 4.0170 6.1417
angles: 90.00 91.00 90.00
Space group C2/m (No. 12)
Unique sites:
Zr 0.1685 0.0000 0.0057 x4
Te 0.0447 0.0000 0.7557 x4
Te 0.1105 0.5000 0.2775 x4
Te 0.2162 0.5000 0.7146 x4
Ir 0.0000 0.5000 0.5000 x2

Top 12 peaks for 2θ = 5–70°, sorted by position:
d_spacing  I/Imax  h k l
10.290  218  2 0 0
5.314  193  2 0 -1
5.233  239  2 0 1
3.318  562  1 1 -1
3.030  817  3 1 -1
3.011  1000  6 0 -1
2.972  494  6 0 1
2.308  646  6 0 -2
2.288  792  3 1 2
2.009  386  0 2 0
1.987  669  9 1 0
1.770  237  3 1 -3

---

Diffraction record for TlIr5. The powder diffractogram is computed, not measured: it uses a DFT-relaxed cell (PBE, OQMD) and Cu Kα.
Kinematic intensities with the Lorentz-polarization factor, no thermal factor.

Cell and atoms:
abc: 5.4747 6.3951 11.4961
angles: 90.00 90.00 90.00
Space group Pmc2_1 (No. 26)
Unique sites:
Tl 0.0000 0.1060 0.0000 x2
Tl 0.5000 0.1622 0.7273 x2
Ir 0.0000 0.1432 0.7211 x2
Ir 0.0000 0.4471 0.1536 x2
Ir 0.0000 0.4698 0.8758 x2
Ir 0.2459 0.2881 0.5262 x4
Ir 0.2485 0.2006 0.3001 x4
Ir 0.5000 0.0649 0.9706 x2
Ir 0.5000 0.3778 0.1280 x2
Ir 0.5000 0.4630 0.8983 x2

Top 12 peaks for 2θ = 5–70°, sorted by position:
d_spacing  I/Imax  h k l
2.621  404  0 1 4
2.457  1000  0 2 3
2.164  249  0 1 5
2.137  227  0 2 4
2.103  189  2 1 3
2.096  228  0 3 1
2.079  275  2 2 0
2.046  219  2 2 1
1.999  145  0 3 2
1.982  277  2 0 4
1.893  362  2 1 4
1.369  135  4 0 0

---

Repeat the third record exactly.
Diffraction record for TlIr5. The powder diffractogram is computed, not measured: it uses a DFT-relaxed cell (PBE, OQMD) and Cu Kα.
Kinematic intensities with the Lorentz-polarization factor, no thermal factor.

Cell and atoms:
abc: 5.4747 6.3951 11.4961
angles: 90.00 90.00 90.00
Space group Pmc2_1 (No. 26)
Unique sites:
Tl 0.0000 0.1060 0.0000 x2
Tl 0.5000 0.1622 0.7273 x2
Ir 0.0000 0.1432 0.7211 x2
Ir 0.0000 0.4471 0.1536 x2
Ir 0.0000 0.4698 0.8758 x2
Ir 0.2459 0.2881 0.5262 x4
Ir 0.2485 0.2006 0.3001 x4
Ir 0.5000 0.0649 0.9706 x2
Ir 0.5000 0.3778 0.1280 x2
Ir 0.5000 0.4630 0.8983 x2

Top 12 peaks for 2θ = 5–70°, sorted by position:
d_spacing  I/Imax  h k l
2.621  404  0 1 4
2.457  1000  0 2 3
2.164  249  0 1 5
2.137  227  0 2 4
2.103  189  2 1 3
2.096  228  0 3 1
2.079  275  2 2 0
2.046  219  2 2 1
1.999  145  0 3 2
1.982  277  2 0 4
1.893  362  2 1 4
1.369  135  4 0 0